(1)
Diffraction record for Li5OsO6. The powder diffraction line list is theoretical, not measured: it uses DFT lattice parameters and positions (PBE) and Cu Kα X-rays.
Kinematic intensities with the Lorentz-polarization factor, no thermal factor.

Top 10 peaks for 5 to 70 degrees two-theta, in order of rising 2θ:
2θ/deg, intensity, index
18.65, 69, 0 0 1
20.03, 56, 0 2 0
21.07, 100, 1 1 0
23.74, 74, 1 1 -1
27.50, 50, 0 2 1
32.23, 31, 1 1 1
35.69, 24, 1 3 0
37.56, 23, 1 1 -2
43.54, 39, 1 3 1
43.77, 19, 2 0 -2

Structural model:
```
data_Li5OsO6
_chemical_formula_sum 'Li10 Os2 O12'
_cell_length_a 5.086
_cell_length_b 8.866
_cell_length_c 5.046
_cell_angle_alpha 90.00
_cell_angle_beta 109.47
_cell_angle_gamma 90.00
_symmetry_space_group_name_H-M 'C 1 2/m 1'
_symmetry_Int_Tables_number 12
_symmetry_space_group_name_Hall '-C 2y'
loop_
_atom_site_label
_atom_site_fract_x
_atom_site_fract_y
_atom_site_fract_z
Li1 0.000 0.000 0.000
Li2 0.000 0.170 0.500
Li3 0.000 0.318 0.000
Os1 0.000 0.500 0.500
O1 0.229 0.500 0.272
O2 0.232 0.346 0.735
```

(2)
Diffraction record for Li5OsO6. The powder diffraction line list is theoretical, not measured: it uses DFT lattice parameters and positions (PBE) and Cu Kα X-rays.
Kinematic intensities with the Lorentz-polarization factor, no thermal factor.

Top 10 peaks for 5 to 70 degrees two-theta, in order of rising 2θ:
2θ/deg, intensity, index
18.60, 70, 0 0 3
20.10, 58, 1 0 0
21.04, 100, 1 0 1
23.67, 74, 1 0 2
27.52, 51, 1 0 3
32.19, 30, 1 0 4
35.75, 35, 1 1 1
37.43, 32, 2 -1 2
43.57, 58, 1 1 4
55.40, 20, 2 1 1

Structural model:
```
data_Li5OsO6
_chemical_formula_sum 'Li15 Os3 O18'
_cell_length_a 5.1024
_cell_length_b 5.1024
_cell_length_c 14.3092
_cell_angle_alpha 90.00
_cell_angle_beta 90.00
_cell_angle_gamma 120.00
_symmetry_space_group_name_H-M 'P 31 1 2'
_symmetry_Int_Tables_number 151
_symmetry_space_group_name_Hall 'P 31 2 (0 0 4)'
loop_
_atom_site_label
_atom_site_fract_x
_atom_site_fract_y
_atom_site_fract_z
Li1 0.1980 0.0990 0.0000
Li2 0.2219 0.1110 0.5000
Li3 0.2221 0.4442 0.1667
Li4 0.2222 0.4445 0.6667
Li5 0.5431 0.0863 0.6667
Os1 0.5568 0.1135 0.1667
O1 0.1955 0.4448 0.4224
O2 0.2479 0.1101 0.2446
O3 0.5548 0.1396 0.9101
```

(3)
Diffraction record for Li2OsO6. The powder diffraction line list is theoretical, not measured: it uses DFT lattice parameters and positions (PBE) and Cu Kα X-rays.
Kinematic intensities with the Lorentz-polarization factor, no thermal factor.

Top 10 peaks for 5 to 70 degrees two-theta, in order of rising 2θ:
2θ/deg, intensity, index
18.81, 100, 2 0 0
19.98, 77, 1 1 -1
24.74, 50, 1 1 1
26.20, 11, 0 2 1
26.72, 31, 2 2 0
30.16, 25, 3 1 -1
40.59, 13, 2 2 -2
40.73, 19, 3 3 -1
42.86, 11, 4 2 0
49.28, 11, 1 5 0

Structural model:
```
data_Li2OsO6
_chemical_formula_sum 'Li8 Os4 O24'
_cell_length_a 9.919
_cell_length_b 9.434
_cell_length_c 5.161
_cell_angle_alpha 90.00
_cell_angle_beta 107.94
_cell_angle_gamma 90.00
_symmetry_space_group_name_H-M 'C 1 2/c 1'
_symmetry_Int_Tables_number 15
_symmetry_space_group_name_Hall '-C 2yc'
loop_
_atom_site_label
_atom_site_fract_x
_atom_site_fract_y
_atom_site_fract_z
Li1 0.000 0.046 0.250
Li2 0.250 0.250 0.500
Os1 0.000 0.287 0.750
O1 0.097 0.234 0.097
O2 0.103 0.122 0.627
O3 0.127 0.402 0.699
```

(4)
Diffraction record for LiPr2OsO6. The powder diffraction line list is theoretical, not measured: it uses DFT lattice parameters and positions (PBE) and Cu Kα X-rays.
Kinematic intensities with the Lorentz-polarization factor, no thermal factor.

Top 10 peaks for 5 to 70 degrees two-theta, in order of rising 2θ:
2θ/deg, intensity, index
18.91, 75, 0 1 1
19.75, 43, 1 0 -2
30.53, 41, 0 2 0
31.78, 100, 1 1 1
31.99, 100, 1 1 -3
32.48, 51, 2 0 -2
45.17, 39, 2 2 -2
46.25, 28, 0 0 4
50.97, 27, 1 3 0
57.38, 34, 3 1 -1

Structural model:
```
data_LiPr2OsO6
_chemical_formula_sum 'Li2 Pr4 Os2 O12'
_cell_length_a 5.514
_cell_length_b 5.855
_cell_length_c 9.556
_cell_angle_alpha 90.00
_cell_angle_beta 124.75
_cell_angle_gamma 90.00
_symmetry_space_group_name_H-M 'P 1 21/c 1'
_symmetry_Int_Tables_number 14
_symmetry_space_group_name_Hall '-P 2ybc'
loop_
_atom_site_label
_atom_site_fract_x
_atom_site_fract_y
_atom_site_fract_z
Li1 0.000 0.000 0.000
Pr1 0.232 0.068 0.749
Os1 0.500 0.000 0.500
O1 0.159 0.187 0.453
O2 0.265 0.713 0.447
O3 0.353 0.031 0.257
```

(5)
Diffraction record for Rb2LiOs2O6. The powder diffraction line list is theoretical, not measured: it uses DFT lattice parameters and positions (PBE) and Cu Kα X-rays.
Kinematic intensities with the Lorentz-polarization factor, no thermal factor.

Top 10 peaks for 5 to 70 degrees two-theta, in order of rising 2θ:
2θ/deg, intensity, index
13.82, 65, 0 0 3
20.81, 69, 0 1 2
26.34, 64, 1 0 4
27.85, 42, 0 0 6
32.56, 90, 1 1 0
43.36, 100, 2 -1 6
54.41, 31, 3 -1 4
58.10, 26, 3 0 0
65.63, 25, 3 0 6
67.69, 22, 1 1 12

Structural model:
```
data_Rb2LiOs2O6
_chemical_formula_sum 'Rb6 Li3 Os6 O18'
_cell_length_a 5.5002
_cell_length_b 5.5002
_cell_length_c 19.2223
_cell_angle_alpha 90.00
_cell_angle_beta 90.00
_cell_angle_gamma 120.00
_symmetry_space_group_name_H-M 'R -3'
_symmetry_Int_Tables_number 148
_symmetry_space_group_name_Hall '-R 3'
loop_
_atom_site_label
_atom_site_fract_x
_atom_site_fract_y
_atom_site_fract_z
Rb1 0.0000 0.0000 0.1547
Li1 0.0000 0.0000 0.0000
Os1 0.0000 0.0000 0.3346
O1 0.0030 0.6252 0.9467
```

(6)
Diffraction record for Rb2LiOs2O6. The powder diffraction line list is theoretical, not measured: it uses DFT lattice parameters and positions (PBE) and Cu Kα X-rays.
Kinematic intensities with the Lorentz-polarization factor, no thermal factor.

Top 10 peaks for 5 to 70 degrees two-theta, in order of rising 2θ:
2θ/deg, intensity, index
11.68, 100, 0 0 1
20.03, 17, -1 1 1
24.23, 57, 0 1 1
26.97, 36, 1 0 1
32.20, 54, 1 1 -1
34.36, 27, 1 -2 1
48.68, 28, 1 1 2
48.78, 14, -2 1 4
52.82, 14, -3 1 3
57.41, 14, 3 0 -2

Structural model:
```
data_Rb2LiOs2O6
_chemical_formula_sum 'Rb2 Li1 Os2 O6'
_cell_length_a 5.558
_cell_length_b 5.560
_cell_length_c 8.225
_cell_angle_alpha 90.15
_cell_angle_beta 109.62
_cell_angle_gamma 119.96
_symmetry_space_group_name_H-M 'P 1'
_symmetry_Int_Tables_number 1
_symmetry_space_group_name_Hall 'P 1'
loop_
_atom_site_label
_atom_site_fract_x
_atom_site_fract_y
_atom_site_fract_z
Rb1 0.000 0.000 0.000
Rb2 0.423 0.213 0.636
Li1 0.698 0.349 0.047
Os1 0.552 0.777 0.328
Os2 0.897 0.449 0.346
O1 0.113 0.464 0.182
O2 0.323 0.755 0.473
O3 0.533 0.070 0.182
O4 0.718 0.571 0.473
O5 0.719 0.650 0.182
O6 0.902 0.150 0.473
```

(7)
Diffraction record for Rb2LiOs2O6. The powder diffraction line list is theoretical, not measured: it uses DFT lattice parameters and positions (PBE) and Cu Kα X-rays.
Kinematic intensities with the Lorentz-polarization factor, no thermal factor.

Top 10 peaks for 5 to 70 degrees two-theta, in order of rising 2θ:
2θ/deg, intensity, index
15.91, 51, 0 0 1
21.02, 41, 1 1 0
28.07, 58, 1 1 2
31.63, 100, 2 1 1
32.42, 38, 1 0 2
35.60, 34, 2 1 0
45.71, 41, 1 2 3
45.93, 21, 2 2 3
56.34, 22, 3 3 2
59.55, 35, 2 1 4

Structural model:
```
data_Rb2LiOs2O6
_chemical_formula_sum 'Rb2 Li1 Os2 O6'
_cell_length_a 5.656
_cell_length_b 5.657
_cell_length_c 6.455
_cell_angle_alpha 64.05
_cell_angle_beta 64.09
_cell_angle_gamma 60.03
_symmetry_space_group_name_H-M 'P -1'
_symmetry_Int_Tables_number 2
_symmetry_space_group_name_Hall '-P 1'
loop_
_atom_site_label
_atom_site_fract_x
_atom_site_fract_y
_atom_site_fract_z
Rb1 0.121 0.122 0.135
Li1 0.500 0.500 0.000
Os1 0.331 0.331 0.506
O1 0.077 0.613 0.291
O2 0.387 0.482 0.709
O3 0.482 0.923 0.709
```

(8)
Diffraction record for Sr2LiOsO6. The powder diffraction line list is theoretical, not measured: it uses DFT lattice parameters and positions (PBE) and Cu Kα X-rays.
Kinematic intensities with the Lorentz-polarization factor, no thermal factor.

Top 10 peaks for 5 to 70 degrees two-theta, in order of rising 2θ:
2θ/deg, intensity, index
19.38, 71, 1 1 1
22.42, 3, 2 0 0
31.91, 100, 2 2 0
37.61, 37, 3 1 1
39.35, 2, 2 2 2
45.76, 35, 4 0 0
50.13, 15, 3 3 1
56.87, 40, 4 2 2
60.67, 13, 5 1 1
66.71, 21, 4 4 0

Structural model:
```
data_Sr2LiOsO6
_chemical_formula_sum 'Sr8 Li4 Os4 O24'
_cell_length_a 7.932
_cell_length_b 7.932
_cell_length_c 7.932
_cell_angle_alpha 90.00
_cell_angle_beta 90.00
_cell_angle_gamma 90.00
_symmetry_space_group_name_H-M 'F m -3 m'
_symmetry_Int_Tables_number 225
_symmetry_space_group_name_Hall '-F 4 2 3'
loop_
_atom_site_label
_atom_site_fract_x
_atom_site_fract_y
_atom_site_fract_z
Sr1 0.250 0.250 0.250
Li1 0.000 0.000 0.000
Os1 0.000 0.000 0.500
O1 0.000 0.000 0.260
```